For Tb2Dy3Ho3, a crystal structure in Alexandria, relaxed with GGA-PBE gives the theoretical powder X-ray diffraction pattern in this record (Cu Kα X-rays).
Intensities are scaled so that the largest is 100.

Main lines, sorted by position (2θ = 15–90°):
- 31.0 deg, intensity 100, (1 1 4)
- 36.0 deg, intensity 51, (2 0 0)
- 51.8 deg, intensity 36, (2 2 0)
- 61.6 deg, intensity 43, (3 1 4)
- 64.6 deg, intensity 12, (2 2 8)
- 76.2 deg, intensity 6, (4 0 0)
- 84.6 deg, intensity 18, (3 3 4)
- 87.3 deg, intensity 17, (4 2 0)

```
Tb2Dy3Ho3
1.0
4.995 0.000 0.000
0.000 4.995 0.000
0.000 0.000 19.980
Tb Dy Ho
4 6 6
direct
0.000 0.000 0.250 Tb
0.000 0.000 0.750 Tb
0.500 0.500 0.250 Tb
0.500 0.500 0.750 Tb
0.000 0.000 0.000 Dy
0.000 0.500 0.125 Dy
0.000 0.500 0.875 Dy
0.500 0.000 0.375 Dy
0.500 0.000 0.625 Dy
0.500 0.500 0.500 Dy
0.000 0.000 0.500 Ho
0.000 0.500 0.375 Ho
0.000 0.500 0.625 Ho
0.500 0.000 0.125 Ho
0.500 0.000 0.875 Ho
0.500 0.500 0.000 Ho
```